Diffraction record for KTmCu2F8. The X-ray diffraction stick pattern is calculated, not measured: it uses a crystal structure in Alexandria, relaxed with PBE and Cu Kα (weighted mean of Kα1 and Kα2).

Structure:
```
12
Lattice="-2.8012 2.8012 5.3430 2.8012 -2.8012 5.3430 2.8012 2.8012 -5.3430" Properties=species:S:1:pos:R:3 pbc="T T T"
K 0.0000 0.0000 0.0000
Tm 2.8012 0.0000 2.6715
Cu 0.0000 0.0000 5.3430
Cu 0.0000 2.8012 2.6715
F 2.2030 1.1337 0.7549
F 1.6675 -0.5982 4.5880
F -1.0526 1.2859 2.1595
F 1.1337 3.3994 -0.7549
F 1.5153 1.7487 3.1834
F 0.5982 1.6675 6.0979
F 1.0526 4.3165 2.1595
F -1.5153 3.8538 3.1834
```

Most intense lines, 10° ≤ 2θ ≤ 90°, most intense first:
2θ 28.0, I = 100; 2θ 54.6, I = 38; 2θ 17.9, I = 34; 2θ 47.0, I = 23; 2θ 31.9, I = 21; 2θ 56.7, I = 19